This entry pairs a crystal structure of RbCd2GeSe4 with its theoretical XRD peak list. Radiation: copper Kα. Structure: a structure optimized by DFT (GGA-PBE).
Peak positions follow from Bragg's law for the DFT cell and can differ from measured ones.

Cell and atoms:
```
data_RbCd2GeSe4
_chemical_formula_sum 'Rb4 Cd8 Ge4 Se16'
_cell_length_a 10.230
_cell_length_b 10.377
_cell_length_c 9.273
_cell_angle_alpha 90.00
_cell_angle_beta 90.00
_cell_angle_gamma 90.00
_space_group_name_H-M_alt 'F m m 2'
_space_group_IT_number 42
_space_group_name_Hall 'F 2 -2'
loop_
_atom_site_label
_atom_site_type_symbol
_atom_site_fract_x
_atom_site_fract_y
_atom_site_fract_z
Rb1 Rb 0.000 0.000 0.000
Cd1 Cd 0.250 0.250 0.249
Ge1 Ge 0.000 0.000 0.505
Se1 Se 0.000 0.193 0.353
Se2 Se 0.195 0.000 0.657
```

Most intense lines, 2θ = 10–90°, in order of rising 2θ:
| two_theta | I/Imax |
| --- | --- |
| 25.77 | 91 |
| 25.94 | 100 |
| 28.90 | 20 |
| 34.57 | 34 |
| 35.09 | 34 |
| 43.72 | 43 |
| 44.04 | 40 |
| 46.43 | 60 |